[1]
The following is a simulated X-ray diffraction stick pattern of Y4SO5. It was derived from a structure optimized by DFT (PBE), using λ = 1.5418 Å (Cu Kα).
No peak broadening, texture or thermal motion is included.

Main lines, by angle (15 to 90 degrees two-theta):
2theta	I (rel.)
25.6	100
29.6	74
32.0	13
32.2	31
40.8	16
46.0	57
51.0	13
51.2	27
53.3	13
58.0	19

Atomic structure:
Cell lengths 7.1576, 8.8566, 5.5995 Å; angles 90.00, 90.00, 90.00 degrees
Sites, in units of the cell vectors:
Y: 0.0083 0.2500 0.0151
Y: 0.2500 0.0229 0.5279
Y: 0.2500 0.4771 0.5279
Y: 0.4917 0.2500 0.0151
Y: 0.5083 0.7500 0.9849
Y: 0.7500 0.5229 0.4721
Y: 0.7500 0.9771 0.4721
Y: 0.9917 0.7500 0.9849
S: 0.2500 0.7500 0.3075
S: 0.7500 0.2500 0.6925
O: 0.0049 0.0689 0.2673
O: 0.0049 0.4311 0.2673
O: 0.2500 0.2500 0.7672
O: 0.4951 0.0689 0.2673
O: 0.4951 0.4311 0.2673
O: 0.5049 0.5689 0.7327
O: 0.5049 0.9311 0.7327
O: 0.7500 0.7500 0.2328
O: 0.9951 0.5689 0.7327
O: 0.9951 0.9311 0.7327

***

[2]
The following is a simulated X-ray diffraction stick pattern of CsPaSO2. It was derived from a structure optimized by DFT (PBE), using λ = 1.5418 Å (Cu Kα).
No peak broadening, texture or thermal motion is included.

Main lines, by angle (15 to 90 degrees two-theta):
2theta	I (rel.)
19.9	15
25.8	100
28.3	49
32.9	24
40.5	26
44.0	32
48.7	37
53.1	23
54.6	13
70.1	13

Atomic structure:
Cell lengths 4.4555, 4.4555, 5.4450 Å; angles 90.00, 90.00, 90.00 degrees
Sites, in units of the cell vectors:
Cs: 0.0000 0.0000 0.0000
Pa: 0.5000 0.5000 0.4929
S: 0.5000 0.5000 0.9912
O: 0.0000 0.5000 0.4913
O: 0.5000 0.0000 0.4913

***

[3]
The following is a simulated X-ray diffraction stick pattern of OsSeN. It was derived from a structure optimized by DFT (PBE), using λ = 1.5418 Å (Cu Kα).
No peak broadening, texture or thermal motion is included.

Main lines, by angle (15 to 90 degrees two-theta):
2theta	I (rel.)
28.6	56
31.9	59
35.4	64
35.5	68
35.9	100
40.5	55
40.9	51
41.6	52
41.9	62
42.1	54

Atomic structure:
Cell lengths 2.8931, 3.1578, 6.4090 Å; angles 87.58, 77.71, 62.79 degrees
Sites, in units of the cell vectors:
Os: 0.0000 0.0000 0.0000
Se: 0.5071 0.2835 0.6799
N: 0.2355 0.3955 0.1418

***

[4]
The following is a simulated X-ray diffraction stick pattern of CuNi3H2. It was derived from a structure optimized by DFT (PBE), using λ = 1.5418 Å (Cu Kα).
No peak broadening, texture or thermal motion is included.

Main lines, by angle (15 to 90 degrees two-theta):
2theta	I (rel.)
39.5	47
42.9	82
43.9	60
45.8	100
46.1	50
48.6	77
55.5	18
74.4	29
78.7	18
89.6	17

Atomic structure:
Cell lengths 6.4960, 6.4960, 6.2275 Å; angles 102.24, 102.24, 22.74 degrees
Sites, in units of the cell vectors:
Cu: 0.1619 0.1619 0.4613
Cu: 0.8381 0.8381 0.5387
Ni: 0.0400 0.0400 0.7316
Ni: 0.2814 0.2814 0.1837
Ni: 0.4008 0.4008 0.9009
Ni: 0.5992 0.5992 0.0991
Ni: 0.7186 0.7186 0.8163
Ni: 0.9600 0.9600 0.2684
H: 0.1587 0.1587 0.9598
H: 0.4536 0.4536 0.6704
H: 0.5464 0.5464 0.3296
H: 0.8413 0.8413 0.0402

***

[5]
The following is a simulated X-ray diffraction stick pattern of CrNiW. It was derived from a structure optimized by DFT (PBE), using λ = 1.5418 Å (Cu Kα).
No peak broadening, texture or thermal motion is included.

Main lines, by angle (15 to 90 degrees two-theta):
2theta	I (rel.)
24.3	58
42.7	82
43.4	100
49.8	9
56.7	5
62.6	33
67.7	8
78.3	13
78.8	34
80.2	7

Atomic structure:
Cell lengths 4.2309, 4.2309, 2.5326 Å; angles 90.00, 90.00, 120.00 degrees
Sites, in units of the cell vectors:
Cr: 0.0000 0.0000 0.0000
Ni: 0.6667 0.3333 0.1060
W: 0.3333 0.6667 0.5833

***

[6]
The following is a simulated X-ray diffraction stick pattern of CeSmTe2. It was derived from a structure optimized by DFT (PBE), using λ = 1.5418 Å (Cu Kα).
No peak broadening, texture or thermal motion is included.

Main lines, by angle (15 to 90 degrees two-theta):
2theta	I (rel.)
24.1	14
25.0	38
30.5	100
35.8	56
41.9	57
45.9	14
52.7	21
56.3	15
63.9	31
69.5	18

Atomic structure:
Cell lengths 4.3106, 4.3106, 23.7143 Å; angles 90.00, 90.00, 120.00 degrees
Sites, in units of the cell vectors:
Ce: 0.0000 0.0000 0.0000
Ce: 0.3333 0.6667 0.6667
Ce: 0.6667 0.3333 0.3333
Sm: 0.0000 0.0000 0.1740
Sm: 0.3333 0.6667 0.8406
Sm: 0.6667 0.3333 0.5073
Te: 0.0000 0.0000 0.4211
Te: 0.0000 0.0000 0.5864
Te: 0.3333 0.6667 0.0877
Te: 0.3333 0.6667 0.2531
Te: 0.6667 0.3333 0.7544
Te: 0.6667 0.3333 0.9198

***

[7]
The following is a simulated X-ray diffraction stick pattern of Na3MgCo. It was derived from a structure optimized by DFT (PBE), using λ = 1.5418 Å (Cu Kα).
No peak broadening, texture or thermal motion is included.

Main lines, by angle (15 to 90 degrees two-theta):
2theta	I (rel.)
16.5	82
23.4	78
33.3	100
37.3	41
41.0	34
47.8	68
50.9	20
59.4	22
79.6	25
89.0	19

Atomic structure:
Cell lengths 5.3864, 5.3864, 5.3864 Å; angles 90.00, 90.00, 90.00 degrees
Sites, in units of the cell vectors:
Na: 0.0000 0.0000 0.5000
Na: 0.0000 0.5000 0.0000
Na: 0.5000 0.0000 0.0000
Mg: 0.5000 0.5000 0.5000
Co: 0.0000 0.0000 0.0000

***

[8]
The following is a simulated X-ray diffraction stick pattern of Nd3TmGe4. It was derived from a structure optimized by DFT (PBE), using λ = 1.5418 Å (Cu Kα).
No peak broadening, texture or thermal motion is included.

Main lines, by angle (15 to 90 degrees two-theta):
2theta	I (rel.)
27.7	100
31.1	18
33.8	27
35.1	18
35.9	31
39.2	27
42.9	21
49.2	19
57.2	19
67.8	21

Atomic structure:
Cell lengths 4.2127, 6.3930, 16.1031 Å; angles 90.00, 90.00, 90.00 degrees
Sites, in units of the cell vectors:
Nd: 0.0000 0.0000 0.0000
Nd: 0.0000 0.5000 0.1949
Nd: 0.0000 0.5000 0.8051
Nd: 0.5000 0.0000 0.3051
Nd: 0.5000 0.0000 0.6949
Nd: 0.5000 0.5000 0.5000
Tm: 0.0000 0.0000 0.5000
Tm: 0.5000 0.5000 0.0000
Ge: 0.0000 0.3059 0.3710
Ge: 0.0000 0.3059 0.6290
Ge: 0.0000 0.6941 0.3710
Ge: 0.0000 0.6941 0.6290
Ge: 0.5000 0.1941 0.1290
Ge: 0.5000 0.1941 0.8710
Ge: 0.5000 0.8059 0.1290
Ge: 0.5000 0.8059 0.8710

***

[9]
The following is a simulated X-ray diffraction stick pattern of Zr5Bi2. It was derived from a structure optimized by DFT (PBE), using λ = 1.5418 Å (Cu Kα).
No peak broadening, texture or thermal motion is included.

Main lines, by angle (15 to 90 degrees two-theta):
2theta	I (rel.)
33.2	56
33.8	61
34.2	63
35.8	100
40.5	40
42.8	28
53.0	16
57.1	17
61.7	20
68.3	16

Atomic structure:
Cell lengths 8.4660, 8.4660, 7.3237 Å; angles 91.70, 91.70, 39.29 degrees
Sites, in units of the cell vectors:
Zr: 0.1501 0.8499 0.7500
Zr: 0.1573 0.4181 0.6781
Zr: 0.3008 0.5549 0.3930
Zr: 0.4181 0.1573 0.1781
Zr: 0.4451 0.6992 0.1070
Zr: 0.5549 0.3008 0.8930
Zr: 0.5819 0.8427 0.8219
Zr: 0.6992 0.4451 0.6070
Zr: 0.8427 0.5819 0.3219
Zr: 0.8499 0.1501 0.2500
Bi: 0.0080 0.2718 0.9614
Bi: 0.2718 0.0080 0.4614
Bi: 0.7282 0.9920 0.5386
Bi: 0.9920 0.7282 0.0386

***

[10]
The following is a simulated X-ray diffraction stick pattern of Th2TlIn4. It was derived from a structure optimized by DFT (PBE), using λ = 1.5418 Å (Cu Kα).
No peak broadening, texture or thermal motion is included.

Main lines, by angle (15 to 90 degrees two-theta):
2theta	I (rel.)
16.3	17
19.0	9
33.0	100
37.6	18
38.6	33
55.0	23
55.8	11
65.0	14
66.4	27
69.2	12

Atomic structure:
Cell lengths 6.6785, 6.6759, 6.5914 Å; angles 60.44, 60.40, 59.15 degrees
Sites, in units of the cell vectors:
Th: 0.0000 0.0000 0.5000
Th: 0.5000 0.5000 0.0000
Tl: 0.0000 0.0000 0.0000
In: 0.0000 0.5000 0.0000
In: 0.0000 0.5000 0.5000
In: 0.5000 0.0000 0.0000
In: 0.5000 0.0000 0.5000

***

[11]
The following is a simulated X-ray diffraction stick pattern of La3Ga6Pd20. It was derived from a structure optimized by DFT (PBE), using λ = 1.5418 Å (Cu Kα).
No peak broadening, texture or thermal motion is included.

Main lines, by angle (15 to 90 degrees two-theta):
2theta	I (rel.)
31.7	14
34.8	23
37.0	100
40.4	46
42.4	30
43.0	15
47.8	21
62.4	24
63.9	14
73.5	26

Atomic structure:
Cell lengths 8.9265, 8.9265, 8.9265 Å; angles 60.00, 60.00, 60.00 degrees
Sites, in units of the cell vectors:
La: 0.0000 0.0000 0.0000
La: 0.2500 0.2500 0.2500
La: 0.7500 0.7500 0.7500
Ga: 0.2722 0.2722 0.7278
Ga: 0.2722 0.7278 0.2722
Ga: 0.2722 0.7278 0.7278
Ga: 0.7278 0.2722 0.2722
Ga: 0.7278 0.2722 0.7278
Ga: 0.7278 0.7278 0.2722
Pd: 0.0000 0.0000 0.3464
Pd: 0.0000 0.0000 0.6536
Pd: 0.0000 0.3464 0.0000
Pd: 0.0000 0.3464 0.6536
Pd: 0.0000 0.6536 0.0000
Pd: 0.0000 0.6536 0.3464
Pd: 0.1439 0.6187 0.6187
Pd: 0.3464 0.0000 0.0000
Pd: 0.3464 0.0000 0.6536
Pd: 0.3464 0.6536 0.0000
Pd: 0.3813 0.3813 0.3813
Pd: 0.3813 0.3813 0.8561
Pd: 0.3813 0.8561 0.3813
Pd: 0.6187 0.1439 0.6187
Pd: 0.6187 0.6187 0.1439
Pd: 0.6187 0.6187 0.6187
Pd: 0.6536 0.0000 0.0000
Pd: 0.6536 0.0000 0.3464
Pd: 0.6536 0.3464 0.0000
Pd: 0.8561 0.3813 0.3813

***

[12]
The following is a simulated X-ray diffraction stick pattern of Dy3Ga4Rh4. It was derived from a structure optimized by DFT (PBE), using λ = 1.5418 Å (Cu Kα).
No peak broadening, texture or thermal motion is included.

Main lines, by angle (15 to 90 degrees two-theta):
2theta	I (rel.)
34.3	100
34.5	51
41.1	33
44.3	16
44.5	16
48.3	21
54.5	13
65.3	16
67.7	13
81.0	13

Atomic structure:
Cell lengths 3.7690, 4.3905, 12.9889 Å; angles 99.41, 98.34, 90.04 degrees
Sites, in units of the cell vectors:
Dy: 0.0000 0.0000 0.0000
Dy: 0.1464 0.6502 0.2940
Dy: 0.8536 0.3498 0.7060
Ga: 0.3066 0.8043 0.6124
Ga: 0.4497 0.4505 0.9002
Ga: 0.5503 0.5495 0.0998
Ga: 0.6934 0.1957 0.3876
Rh: 0.2557 0.2560 0.5124
Rh: 0.4043 0.9057 0.8083
Rh: 0.5957 0.0943 0.1917
Rh: 0.7443 0.7440 0.4876